Entry 1:
Mg6MnCdO8: computed X-ray diffraction stick pattern (copper Kα), based on a crystal structure in the Materials Project, relaxed with GGA+U.
Intensities are scaled so that the largest is 100.

Top 10 peaks for 2θ from 10° to 80°, sorted by position:
2θ (°)	I_rel
10.1	82
20.3	33
28.8	28
30.5	32
35.4	55
41.1	100
41.3	48
59.5	29
59.7	57
75.0	26

Atomic structure:
```
Mg6MnCdO8
1.0
4.3932 0.0000 0.0000
0.0000 4.3932 0.0000
0.0000 0.0000 8.7464
Mg Mn Cd O
6 1 1 8
direct
0.0000 0.0000 0.0000
0.0000 0.5000 0.2419
0.0000 0.5000 0.7581
0.5000 0.0000 0.2419
0.5000 0.0000 0.7581
0.5000 0.5000 0.0000
0.0000 0.0000 0.5000
0.5000 0.5000 0.5000
0.0000 0.0000 0.2421
0.0000 0.0000 0.7579
0.0000 0.5000 0.0000
0.0000 0.5000 0.5000
0.5000 0.0000 0.0000
0.5000 0.0000 0.5000
0.5000 0.5000 0.2332
0.5000 0.5000 0.7668
```

Entry 2:
LiV2P4H2O16: computed X-ray diffraction stick pattern (copper Kα), based on a crystal structure in the Materials Project, relaxed with GGA+U.
Intensities are scaled so that the largest is 100.

Top 10 peaks for 2θ from 10° to 80°, sorted by position:
2θ (°)	I_rel
16.7	81
22.5	20
22.7	29
22.8	32
25.1	100
25.7	71
27.6	23
29.5	58
29.6	45
33.8	53

Atomic structure:
```
LiV2P4H2O16
1.0
7.7473 0.0000 0.0000
-1.8981 9.0735 0.0000
-1.9065 -4.6792 7.8309
Li V P H O
2 4 8 4 32
direct
0.0000 0.0000 0.0000
0.3051 0.6813 0.4180
0.1523 0.8378 0.2063
0.1555 0.3420 0.7129
0.6379 0.0891 0.9543
0.6578 0.5862 0.4571
0.3836 0.6934 0.7125
0.3849 0.1950 0.2175
0.4251 0.0870 0.6014
0.4253 0.5889 0.1038
0.8850 0.5938 0.8100
0.8872 0.0949 0.3134
0.9130 0.4816 0.1983
0.9147 0.9848 0.6984
0.1389 0.8550 0.7153
0.1420 0.3511 0.2119
0.6642 0.5798 0.9426
0.6649 0.0839 0.4442
0.0033 0.9713 0.2834
0.0055 0.4738 0.7860
0.0090 0.7740 0.9685
0.0161 0.2690 0.4760
0.0947 0.9608 0.7806
0.0985 0.4605 0.2729
0.2059 0.2169 0.1407
0.2115 0.7240 0.6386
0.2901 0.4112 0.9384
0.2957 0.9050 0.4502
0.3013 0.7072 0.1302
0.3041 0.2055 0.6341
0.3323 0.5346 0.7329
0.3382 0.0334 0.2296
0.4611 0.5699 0.2629
0.4789 0.0698 0.7676
0.4962 0.6651 0.5868
0.5040 0.1664 0.0913
0.5149 0.3528 0.3892
0.5164 0.8569 0.8879
0.6002 0.6528 0.0745
0.6036 0.1559 0.5803
0.7052 0.0225 0.3345
0.7062 0.5176 0.8334
0.7903 0.3164 0.0254
0.7909 0.8274 0.5245
0.8008 0.5046 0.3216
0.8091 0.0135 0.8294
0.8383 0.1057 0.1486
0.8381 0.6130 0.6530
0.9655 0.6392 0.1820
0.9763 0.1481 0.6876
```

Entry 3:
Li2Mn3FeO8: computed X-ray diffraction stick pattern (copper Kα), based on a crystal structure in the Materials Project, relaxed with GGA+U.
Intensities are scaled so that the largest is 100.

Top 10 peaks for 2θ from 10° to 80°, sorted by position:
2θ (°)	I_rel
18.7	100
19.5	60
19.8	48
20.0	48
35.5	31
36.0	58
36.3	29
45.3	31
45.7	30
46.2	29

Atomic structure:
```
Li2Mn3FeO8
1.0
5.7921 0.0000 0.0000
0.0000 9.5034 0.0000
-2.8079 0.0000 5.1693
Li Mn Fe O
4 6 2 16
direct
0.0012 0.0000 0.4953
0.3300 0.3918 0.1661
0.6700 0.8918 0.8339
0.9988 0.5000 0.5047
0.1673 0.7154 0.3283
0.1713 0.7196 0.8395
0.3410 0.2150 0.6694
0.6590 0.7150 0.3306
0.8287 0.2196 0.1605
0.8327 0.2154 0.6717
0.3406 0.9950 0.1743
0.6594 0.4950 0.8257
0.0153 0.3142 0.5258
0.0417 0.8366 0.0254
0.1600 0.1016 0.8211
0.1745 0.1059 0.3467
0.3178 0.6079 0.6563
0.3448 0.6037 0.1906
0.4778 0.8352 0.4624
0.4963 0.8385 0.0343
0.5037 0.3385 0.9657
0.5222 0.3352 0.5376
0.6552 0.1037 0.8094
0.6822 0.1079 0.3437
0.8255 0.6059 0.6533
0.8400 0.6016 0.1789
0.9583 0.3366 0.9746
0.9847 0.8142 0.4742
```

Entry 4:
NbFe5P6O24: computed X-ray diffraction stick pattern (copper Kα), based on a crystal structure in the Materials Project, relaxed with GGA+U.
Intensities are scaled so that the largest is 100.

Top 10 peaks for 2θ from 10° to 80°, sorted by position:
2θ (°)	I_rel
20.4	100
20.7	18
24.1	92
32.9	73
35.7	42
47.2	33
49.3	27
55.8	26
56.3	16
62.4	20

Atomic structure:
```
NbFe5P6O24
1.0
4.3589 2.5166 6.9562
-4.3589 2.5166 6.9562
0.0000 -5.0332 6.9562
Nb Fe P O
1 5 6 24
direct
0.0000 0.0000 0.0000
0.1466 0.1466 0.1466
0.2875 0.2875 0.2875
0.4990 0.4990 0.4990
0.6429 0.6429 0.6429
0.7850 0.7850 0.7850
0.0989 0.6805 0.3978
0.1874 0.5929 0.8889
0.3978 0.0989 0.6805
0.5929 0.8889 0.1874
0.6805 0.3978 0.0989
0.8889 0.1874 0.5929
0.0308 0.6389 0.8232
0.0514 0.2024 0.4024
0.0793 0.8816 0.2353
0.1348 0.7570 0.9602
0.1402 0.5317 0.3226
0.2024 0.4024 0.0514
0.2353 0.0793 0.8816
0.2555 0.6477 0.4575
0.3226 0.1402 0.5317
0.3821 0.5880 0.7339
0.4024 0.0514 0.2024
0.4575 0.2555 0.6477
0.5317 0.3226 0.1402
0.5519 0.9019 0.7004
0.5880 0.7339 0.3821
0.6389 0.8232 0.0308
0.6477 0.4575 0.2555
0.7004 0.5519 0.9019
0.7339 0.3821 0.5880
0.7570 0.9602 0.1348
0.8232 0.0308 0.6389
0.8816 0.2353 0.0793
0.9019 0.7004 0.5519
0.9602 0.1348 0.7570
```